Diffraction record for Tb2DyMg6. The XRD peak list is computed, not measured: it uses the GGA-PBE geometry in Alexandria and Cu Kα, 1.54184 Å.

Structural model:
Unit cell a=9.0757 b=9.0757 c=3.2890 alpha=90.00 beta=90.00 gamma=120.00
Space group P6/mmm (No. 191)
Symmetry-distinct sites (fractional):
Tb1 0.3333 0.6667 0.0000 (multiplicity 2)
Dy1 0.0000 0.0000 0.0000 (multiplicity 1)
Mg1 0.0000 0.3328 0.5000 (multiplicity 6)

Most intense lines, 10 to 90 degrees two-theta, most intense first:
2θ = 33.65°, intensity 100, (1 1 1); 2θ = 19.56°, intensity 98, (1 1 0); 2θ = 34.23°, intensity 62, (3 0 0); 2θ = 60.92°, intensity 36, (4 1 1); 2θ = 48.76°, intensity 35, (2 2 1); 2θ = 67.21°, intensity 17, (3 0 2)

***

Diffraction record for BaPu2NiN4. The XRD peak list is computed, not measured: it uses the GGA-PBE geometry in Alexandria and Cu Kα, 1.54184 Å.

Structural model:
Unit cell a=3.524 b=11.774 c=11.563 alpha=90.00 beta=90.00 gamma=90.00
Space group Cmcm (No. 63)
Symmetry-distinct sites (fractional):
Ba1 0.000 0.097 0.250 (multiplicity 4)
Pu1 0.000 0.367 0.056 (multiplicity 8)
Ni1 0.000 0.174 0.750 (multiplicity 4)
N1 0.000 0.000 0.000 (multiplicity 4)
N2 0.000 0.249 0.599 (multiplicity 8)
N3 0.000 0.406 0.250 (multiplicity 4)

Most intense lines, 10 to 90 degrees two-theta, most intense first:
2θ = 27.66°, intensity 100, (0 2 3); 2θ = 30.67°, intensity 90, (1 1 2); 2θ = 37.67°, intensity 66, (1 3 2); 2θ = 30.37°, intensity 56, (0 4 0); 2θ = 35.09°, intensity 35, (1 3 1); 2θ = 34.19°, intensity 34, (1 3 0)

***

Diffraction record for Li2CeCl4. The XRD peak list is computed, not measured: it uses the GGA-PBE geometry in Alexandria and Cu Kα, 1.54184 Å.

Structural model:
Unit cell a=7.360 b=8.031 c=11.501 alpha=90.00 beta=90.00 gamma=90.00
Space group Imma (No. 74)
Symmetry-distinct sites (fractional):
Li1 0.000 0.000 0.000 (multiplicity 4)
Li2 0.000 0.250 0.376 (multiplicity 4)
Ce1 0.250 0.250 0.750 (multiplicity 4)
Cl1 0.000 0.025 0.233 (multiplicity 8)
Cl2 0.237 0.250 0.998 (multiplicity 8)

Most intense lines, 10 to 90 degrees two-theta, most intense first:
2θ = 13.45°, intensity 100, (0 1 1); 2θ = 33.02°, intensity 59, (2 2 0); 2θ = 27.77°, intensity 58, (2 1 1); 2θ = 45.99°, intensity 45, (2 2 4); 2θ = 15.41°, intensity 42, (0 0 2); 2θ = 31.10°, intensity 34, (0 0 4)

***

Diffraction record for LaY3Tl3. The XRD peak list is computed, not measured: it uses the GGA-PBE geometry in Alexandria and Cu Kα, 1.54184 Å.

Structural model:
Unit cell a=9.472 b=9.472 c=9.472 alpha=90.00 beta=90.00 gamma=90.00
Space group P2_13 (No. 198)
Symmetry-distinct sites (fractional):
La1 0.070 0.430 0.570 (multiplicity 4)
Y1 0.083 0.583 0.917 (multiplicity 4)
Y2 0.179 0.179 0.179 (multiplicity 4)
Y3 0.182 0.818 0.318 (multiplicity 4)
Tl1 0.000 0.262 0.888 (multiplicity 12)

Most intense lines, 10 to 90 degrees two-theta, most intense first:
2θ = 29.83°, intensity 100, (3 1 0); 2θ = 35.46°, intensity 64, (3 2 1); 2θ = 60.23°, intensity 31, (6 1 1); 2θ = 23.00°, intensity 30, (2 1 1); 2θ = 42.69°, intensity 25, (4 0 2); 2θ = 49.04°, intensity 21, (4 1 3)

***

Please write out number 1 again, unchanged.
Diffraction record for Tb2DyMg6. The XRD peak list is computed, not measured: it uses the GGA-PBE geometry in Alexandria and Cu Kα, 1.54184 Å.

Structural model:
Unit cell a=9.0757 b=9.0757 c=3.2890 alpha=90.00 beta=90.00 gamma=120.00
Space group P6/mmm (No. 191)
Symmetry-distinct sites (fractional):
Tb1 0.3333 0.6667 0.0000 (multiplicity 2)
Dy1 0.0000 0.0000 0.0000 (multiplicity 1)
Mg1 0.0000 0.3328 0.5000 (multiplicity 6)

Most intense lines, 10 to 90 degrees two-theta, most intense first:
2θ = 33.65°, intensity 100, (1 1 1); 2θ = 19.56°, intensity 98, (1 1 0); 2θ = 34.23°, intensity 62, (3 0 0); 2θ = 60.92°, intensity 36, (4 1 1); 2θ = 48.76°, intensity 35, (2 2 1); 2θ = 67.21°, intensity 17, (3 0 2)